(1)
La3PrPt: simulated powder diffraction line list (copper Kα), based on a PBE-relaxed structure.
Kinematic intensities with the Lorentz-polarization factor, no thermal factor.

Structure:
Cell lengths 12.4336, 3.9385, 14.2964 Å; angles 90.00, 111.97, 90.00 degrees
Space group Cm (No. 8)
Symmetry-distinct sites (fractional):
1 La 0.0000 0.0000 0.0000 [2 per cell]
2 La 0.0198 0.0000 0.3768 [2 per cell]
3 La 0.1797 0.5000 0.2306 [2 per cell]
4 La 0.3017 0.5000 0.5239 [2 per cell]
5 La 0.3455 0.0000 0.7640 [2 per cell]
6 La 0.3684 0.0000 0.1418 [2 per cell]
7 Pr 0.0648 0.5000 0.6193 [2 per cell]
8 Pr 0.1880 0.5000 0.9087 [2 per cell]
9 Pt 0.0305 0.0000 0.7627 [2 per cell]
10 Pt 0.3324 0.0000 0.3803 [2 per cell]

Largest 12 diffraction maxima, sorted by position, 2θ = 5–70°:
index, 2theta, Rel. int.
2 0 -1, 14.28, 34
1 1 2, 28.86, 39
1 1 -3, 29.42, 88
2 0 3, 29.72, 54
4 0 -3, 30.01, 35
2 0 -5, 31.41, 50
3 1 -2, 31.70, 37
3 1 0, 32.55, 100
1 1 3, 33.27, 44
3 1 -3, 33.45, 52
0 2 0, 46.09, 42
7 1 -3, 56.86, 49


(2)
Hf12PaIn3: simulated powder diffraction line list (copper Kα), based on a PBE-relaxed structure.
Kinematic intensities with the Lorentz-polarization factor, no thermal factor.

Structure:
Cell lengths 4.4312, 4.4312, 18.0278 Å; angles 90.00, 90.00, 90.00 degrees
Space group P4/mmm (No. 123)
Symmetry-distinct sites (fractional):
1 Hf 0.0000 0.0000 0.0000 [1 per cell]
2 Hf 0.0000 0.0000 0.2458 [2 per cell]
3 Hf 0.0000 0.0000 0.5000 [1 per cell]
4 Hf 0.0000 0.5000 0.1222 [4 per cell]
5 Hf 0.0000 0.5000 0.3724 [4 per cell]
6 Pa 0.5000 0.5000 0.5000 [1 per cell]
7 In 0.5000 0.5000 0.0000 [1 per cell]
8 In 0.5000 0.5000 0.2470 [2 per cell]

Largest 9 diffraction maxima, sorted by position, 2θ = 5–70°:
index, 2theta, Rel. int.
0 0 2, 9.81, 1
1 0 1, 20.64, 1
1 1 3, 32.22, 1
1 1 4, 34.87, 100
0 0 8, 40.01, 17
2 0 0, 40.72, 33
2 0 8, 58.41, 22
2 2 0, 58.95, 11
1 1 12, 69.37, 13


(3)
NaMo2P: simulated powder diffraction line list (copper Kα), based on a PBE-relaxed structure.
Kinematic intensities with the Lorentz-polarization factor, no thermal factor.

Structure:
Cell lengths 4.6584, 4.6584, 17.3934 Å; angles 90.00, 90.00, 90.00 degrees
Space group I-42d (No. 122)
Symmetry-distinct sites (fractional):
1 Na 0.0000 0.0000 0.0000 [4 per cell]
2 Mo 0.0331 0.7500 0.6250 [8 per cell]
3 P 0.0000 0.0000 0.5000 [4 per cell]

Largest 12 diffraction maxima, sorted by position, 2θ = 5–70°:
index, 2theta, Rel. int.
1 0 1, 19.73, 100
0 0 4, 20.42, 43
1 0 3, 24.51, 47
1 1 2, 28.99, 18
1 0 5, 32.11, 24
2 0 2, 40.08, 53
0 0 8, 41.53, 28
2 1 1, 43.76, 23
2 1 3, 46.31, 23
2 0 6, 50.25, 27
2 1 5, 51.12, 24
2 2 4, 60.08, 26


(4)
ZnAgRu2: simulated powder diffraction line list (copper Kα), based on a PBE-relaxed structure.
Kinematic intensities with the Lorentz-polarization factor, no thermal factor.

Structure:
Cell lengths 2.8154, 2.8154, 7.5489 Å; angles 90.00, 90.00, 90.00 degrees
Space group P4mm (No. 99)
Symmetry-distinct sites (fractional):
1 Zn 0.0000 0.0000 0.0000 [1 per cell]
2 Ag 0.5000 0.5000 0.2601 [1 per cell]
3 Ru 0.0000 0.0000 0.5426 [1 per cell]
4 Ru 0.5000 0.5000 0.7590 [1 per cell]

Largest 12 diffraction maxima, sorted by position, 2θ = 5–70°:
index, 2theta, Rel. int.
0 0 1, 11.72, 5
0 0 2, 23.57, 3
1 0 1, 33.98, 2
0 0 3, 35.68, 2
1 0 2, 39.95, 100
1 1 0, 45.57, 35
0 0 4, 48.22, 13
1 0 3, 48.52, 2
1 0 4, 58.91, 2
1 1 3, 59.18, 1
2 0 0, 66.41, 11
1 1 4, 68.51, 17


(5)
K2Pu3O10: simulated powder diffraction line list (copper Kα), based on a PBE-relaxed structure.
Kinematic intensities with the Lorentz-polarization factor, no thermal factor.

Structure:
Cell lengths 19.5361, 6.7270, 8.4256 Å; angles 90.00, 113.13, 90.00 degrees
Space group C2/m (No. 12)
Symmetry-distinct sites (fractional):
1 K 0.1071 0.0000 0.2242 [4 per cell]
2 K 0.1989 0.0000 0.8246 [4 per cell]
3 Pu 0.0000 0.2477 0.5000 [4 per cell]
4 Pu 0.0808 0.5000 0.9755 [4 per cell]
5 Pu 0.1845 0.5000 0.5143 [4 per cell]
6 O 0.0000 0.3095 0.0000 [4 per cell]
7 O 0.0209 0.0000 0.6662 [4 per cell]
8 O 0.0237 0.5000 0.6787 [4 per cell]
9 O 0.1039 0.2520 0.5223 [8 per cell]
10 O 0.1357 0.5000 0.2697 [4 per cell]
11 O 0.1439 0.2892 0.9778 [8 per cell]
12 O 0.2310 0.5000 0.7496 [4 per cell]
13 O 0.2500 0.2500 0.5000 [4 per cell]

Largest 12 diffraction maxima, sorted by position, 2θ = 5–70°:
index, 2theta, Rel. int.
2 0 0, 9.85, 51
0 0 1, 11.42, 54
1 1 0, 14.06, 100
3 1 -1, 19.82, 46
0 0 2, 22.96, 99
1 1 -2, 25.27, 41
3 1 -2, 25.62, 41
5 1 -1, 26.45, 71
6 0 -1, 27.39, 70
2 2 -1, 29.09, 51
2 2 1, 32.11, 46
6 0 -3, 35.88, 37


(6)
Dy4HfP5: simulated powder diffraction line list (copper Kα), based on a PBE-relaxed structure.
Kinematic intensities with the Lorentz-polarization factor, no thermal factor.

Structure:
Cell lengths 8.7941, 8.7941, 5.5757 Å; angles 90.00, 90.00, 90.00 degrees
Space group I4/m (No. 87)
Symmetry-distinct sites (fractional):
1 Dy 0.0968 0.3005 0.0000 [8 per cell]
2 Hf 0.0000 0.0000 0.5000 [2 per cell]
3 P 0.0000 0.0000 0.0000 [2 per cell]
4 P 0.0967 0.2887 0.5000 [8 per cell]

Largest 8 diffraction maxima, sorted by position, 2θ = 5–70°:
index, 2theta, Rel. int.
2 1 1, 27.76, 90
0 0 2, 32.16, 100
1 3 2, 46.12, 73
2 1 3, 54.62, 14
5 0 1, 54.72, 29
4 2 2, 57.34, 25
0 0 4, 67.15, 4
2 6 0, 67.34, 8


(7)
MnNi6Pd: simulated powder diffraction line list (copper Kα), based on a PBE-relaxed structure.
Kinematic intensities with the Lorentz-polarization factor, no thermal factor.

Structure:
Cell lengths 7.2009, 10.2224, 10.2544 Å; angles 90.00, 90.00, 90.00 degrees
Space group Cmmm (No. 65)
Symmetry-distinct sites (fractional):
1 Mn 0.0000 0.0000 0.2472 [4 per cell]
2 Mn 0.0000 0.2495 0.0000 [4 per cell]
3 Ni 0.0000 0.0000 0.0000 [2 per cell]
4 Ni 0.0000 0.0000 0.5000 [2 per cell]
5 Ni 0.0000 0.2478 0.2461 [8 per cell]
6 Ni 0.0000 0.5000 0.0000 [2 per cell]
7 Ni 0.0000 0.5000 0.5000 [2 per cell]
8 Ni 0.2465 0.1241 0.3717 [16 per cell]
9 Ni 0.2479 0.1259 0.1225 [16 per cell]
10 Pd 0.0000 0.2495 0.5000 [4 per cell]
11 Pd 0.0000 0.5000 0.2498 [4 per cell]

Largest 12 diffraction maxima, sorted by position, 2θ = 5–70°:
index, 2theta, Rel. int.
0 0 1, 8.62, 2
1 1 0, 15.05, 1
0 2 1, 19.40, 1
1 1 2, 23.00, 1
0 2 2, 24.59, 1
1 3 0, 28.99, 1
2 2 1, 31.62, 1
2 2 2, 35.15, 1
2 0 3, 36.23, 1
2 4 0, 43.37, 100
0 4 4, 50.42, 31
4 0 0, 50.71, 15


(8)
GaPt3: simulated powder diffraction line list (copper Kα), based on a PBE-relaxed structure.
Kinematic intensities with the Lorentz-polarization factor, no thermal factor.

Structure:
Cell lengths 5.5465, 5.5465, 7.9926 Å; angles 90.00, 90.00, 90.00 degrees
Space group P4/mbm (No. 127)
Symmetry-distinct sites (fractional):
1 Ga 0.0000 0.5000 0.2364 [4 per cell]
2 Pt 0.0000 0.0000 0.2543 [4 per cell]
3 Pt 0.1894 0.3106 0.5000 [4 per cell]
4 Pt 0.2334 0.7334 0.0000 [4 per cell]

Largest 12 diffraction maxima, sorted by position, 2θ = 5–70°:
index, 2theta, Rel. int.
0 0 2, 22.25, 4
1 1 0, 22.67, 5
1 1 2, 31.97, 11
2 1 1, 37.98, 17
2 0 2, 39.55, 100
2 1 2, 42.91, 3
0 0 4, 45.39, 20
2 2 0, 46.30, 28
2 1 3, 50.26, 8
3 1 0, 52.15, 5
2 2 4, 66.85, 18
4 0 0, 67.56, 6


(9)
K3ErPu2Se6: simulated powder diffraction line list (copper Kα), based on a PBE-relaxed structure.
Kinematic intensities with the Lorentz-polarization factor, no thermal factor.

Structure:
Cell lengths 7.3613, 12.7510, 8.0381 Å; angles 90.00, 107.78, 90.00 degrees
Space group C2/m (No. 12)
Symmetry-distinct sites (fractional):
1 K 0.0000 0.0000 0.0000 [2 per cell]
2 K 0.0000 0.3326 0.0000 [4 per cell]
3 Er 0.0000 0.5000 0.5000 [2 per cell]
4 Pu 0.0000 0.1666 0.5000 [4 per cell]
5 Se 0.2327 0.3356 0.7047 [8 per cell]
6 Se 0.2394 0.0000 0.7047 [4 per cell]

Largest 12 diffraction maxima, sorted by position, 2θ = 5–70°:
index, 2theta, Rel. int.
0 0 1, 11.56, 75
1 3 0, 24.49, 22
1 3 1, 28.81, 100
1 3 2, 36.70, 24
2 0 2, 39.83, 35
0 6 0, 42.54, 36
3 3 0, 44.23, 18
2 0 3, 50.24, 14
4 0 0, 52.19, 19
2 6 2, 59.68, 11
3 3 3, 65.66, 12
4 6 0, 69.53, 16


(10)
Fe3Ni2Rh6: simulated powder diffraction line list (copper Kα), based on a PBE-relaxed structure.
Kinematic intensities with the Lorentz-polarization factor, no thermal factor.

Structure:
Cell lengths 3.7261, 3.7261, 22.9810 Å; angles 90.00, 90.00, 90.00 degrees
Space group I4/mmm (No. 139)
Symmetry-distinct sites (fractional):
1 Fe 0.0000 0.0000 0.0000 [2 per cell]
2 Fe 0.0000 0.0000 0.1918 [4 per cell]
3 Ni 0.0000 0.0000 0.4540 [4 per cell]
4 Rh 0.0000 0.0000 0.2962 [4 per cell]
5 Rh 0.0000 0.5000 0.1161 [8 per cell]

Largest 12 diffraction maxima, sorted by position, 2θ = 5–70°:
index, 2theta, Rel. int.
0 0 2, 7.69, 7
0 0 4, 15.42, 25
1 1 2, 34.94, 7
1 0 7, 36.48, 16
1 1 4, 37.56, 100
0 0 10, 39.20, 12
1 1 6, 41.60, 15
1 1 8, 46.79, 61
0 0 12, 47.48, 13
2 0 0, 48.89, 53
1 0 11, 50.05, 8
2 0 10, 64.38, 11


(11)
V4Pd5Ru4: simulated powder diffraction line list (copper Kα), based on a PBE-relaxed structure.
Kinematic intensities with the Lorentz-polarization factor, no thermal factor.

Structure:
Cell lengths 9.8236, 9.8236, 3.8795 Å; angles 90.00, 90.00, 90.00 degrees
Space group I4/m (No. 87)
Symmetry-distinct sites (fractional):
1 V 0.1362 0.2462 0.0000 [8 per cell]
2 Pd 0.0000 0.0000 0.0000 [2 per cell]
3 Pd 0.0527 0.8097 0.5000 [8 per cell]
4 Ru 0.0994 0.6209 0.0000 [8 per cell]

Largest 12 diffraction maxima, sorted by position, 2θ = 5–70°:
index, 2theta, Rel. int.
1 0 1, 24.67, 2
3 1 0, 28.74, 5
2 1 1, 30.75, 5
3 0 1, 35.89, 3
2 3 1, 40.46, 100
4 2 0, 41.09, 3
1 4 1, 44.63, 4
0 0 2, 46.84, 17
5 1 0, 47.18, 29
1 6 1, 62.27, 3
5 1 2, 68.66, 18
4 6 0, 68.93, 7


(12)
Ce2PuHg5: simulated powder diffraction line list (copper Kα), based on a PBE-relaxed structure.
Kinematic intensities with the Lorentz-polarization factor, no thermal factor.

Structure:
Cell lengths 5.3229, 5.3229, 14.9892 Å; angles 90.00, 90.00, 90.00 degrees
Space group I4/mmm (No. 139)
Symmetry-distinct sites (fractional):
1 Ce 0.0000 0.0000 0.2374 [4 per cell]
2 Pu 0.0000 0.0000 0.5000 [2 per cell]
3 Hg 0.0000 0.0000 0.0000 [2 per cell]
4 Hg 0.0000 0.5000 0.1214 [8 per cell]

Largest 11 diffraction maxima, sorted by position, 2θ = 5–70°:
index, 2theta, Rel. int.
0 0 2, 11.81, 3
1 0 3, 24.43, 1
1 1 2, 26.50, 1
2 0 0, 33.73, 100
2 0 2, 35.80, 1
1 1 6, 43.48, 1
2 2 0, 48.36, 13
0 0 8, 48.59, 6
3 1 4, 60.28, 26
2 0 8, 60.42, 12
3 1 6, 67.04, 1